Calculated XRD peak list of K2Te2W3O5 for Cu Kα, 1.54184 Å, from the GGA+U geometry in the Materials Project.
Peak positions follow from Bragg's law for the DFT cell and can differ from measured ones.

Peak list (6 most intense, 2θ from 15° to 90°, most intense first)
| two_theta | d (Å) | I/Imax | hkl |
| --- | --- | --- | --- |
| 29.95 | 2.983 | 100 | 2 1 3 |
| 23.10 | 3.850 | 62 | 1 0 4 |
| 29.55 | 3.022 | 52 | 1 0 -6 |
| 33.25 | 2.694 | 42 | 1 2 -4 |
| 28.16 | 3.168 | 41 | 1 1 -5 |
| 17.57 | 5.046 | 38 | 1 1 1 |

Atomic structure:
abc: 8.5884 6.9194 18.6368
angles: 90.00 97.50 90.00
Element x y z (fractional)
K 0.1298 0.0085 0.4187
K 0.1298 0.4915 0.9187
K 0.3493 0.6899 0.7399
K 0.3493 0.8101 0.2399
K 0.6507 0.1899 0.7601
K 0.6507 0.3101 0.2601
K 0.8702 0.5085 0.0813
K 0.8702 0.9915 0.5813
Te 0.1743 0.5959 0.5435
Te 0.1743 0.9041 0.0435
Te 0.4466 0.0710 0.5906
Te 0.4466 0.4290 0.0906
Te 0.5534 0.5710 0.9094
Te 0.5534 0.9290 0.4094
Te 0.8257 0.0959 0.9565
Te 0.8257 0.4041 0.4565
W 0.0469 0.5120 0.2944
W 0.0469 0.9880 0.7944
W 0.2248 0.1938 0.6852
W 0.2248 0.3062 0.1852
W 0.4014 0.0642 0.8870
W 0.4014 0.4358 0.3870
W 0.5986 0.5642 0.6130
W 0.5986 0.9358 0.1130
W 0.7752 0.6938 0.8148
W 0.7752 0.8062 0.3148
W 0.9531 0.0120 0.2056
W 0.9531 0.4880 0.7056
O 0.0298 0.1895 0.9927
O 0.0298 0.3105 0.4927
O 0.1462 0.0268 0.1380
O 0.1462 0.4732 0.6380
O 0.2284 0.6609 0.0891
O 0.2284 0.8391 0.5891
O 0.3713 0.7455 0.3910
O 0.3713 0.7545 0.8910
O 0.4169 0.1304 0.3606
O 0.4169 0.3696 0.8606
O 0.5831 0.6304 0.1394
O 0.5831 0.8696 0.6394
O 0.6287 0.2455 0.1090
O 0.6287 0.2545 0.6090
O 0.7716 0.1609 0.4109
O 0.7716 0.3391 0.9109
O 0.8538 0.5268 0.3620
O 0.8538 0.9732 0.8620
O 0.9702 0.6895 0.5073
O 0.9702 0.8105 0.0073